(1)
This entry pairs a crystal structure of Mg14CrW with its simulated X-ray powder pattern. Radiation: Cu Ka. Structure: a PBE-relaxed structure.

The 10 most intense peaks (15° ≤ 2θ ≤ 90°), in order of falling intensity:
- 37.80°, I = 100
- 16.35°, I = 53
- 24.29°, I = 35
- 18.64°, I = 34
- 33.05°, I = 30
- 36.12°, I = 25
- 66.06°, I = 19
- 49.76°, I = 19
- 71.19°, I = 19
- 59.03°, I = 17

Cell and atoms:
```
data_Mg14CrW
_symmetry_space_group_name_H-M 'P -6 m 2'
_symmetry_Int_Tables_number 187
_symmetry_space_group_name_Hall 'P -6 2'
_cell_length_a 6.2590
_cell_length_b 6.2590
_cell_length_c 9.9482
_cell_angle_alpha 90.00
_cell_angle_beta 90.00
_cell_angle_gamma 120.00
loop_
_atom_site_label
_atom_site_type_symbol
_atom_site_fract_x
_atom_site_fract_y
_atom_site_fract_z
_atom_site_occupancy
Mg1 Mg 0.0000 0.0000 0.2496 1
Mg2 Mg 0.0140 0.5070 0.2456 1
Mg3 Mg 0.3344 0.1672 0.5000 1
Mg4 Mg 0.3352 0.1676 0.0000 1
Cr1 Cr 0.3333 0.6667 0.5000 1
W1 W 0.3333 0.6667 0.0000 1
```

=====

(2)
This entry pairs a crystal structure of AgHgSI with its simulated X-ray powder pattern. Radiation: Cu Ka. Structure: a PBE-relaxed structure.

The 10 most intense peaks (15° ≤ 2θ ≤ 90°), in order of falling intensity:
- 31.17°, I = 100
- 22.59°, I = 50
- 38.42°, I = 26
- 65.01°, I = 22
- 35.33°, I = 22
- 27.25°, I = 20
- 27.11°, I = 19
- 20.88°, I = 18
- 34.60°, I = 17
- 48.85°, I = 16

Cell and atoms:
```
data_AgHgSI
_symmetry_space_group_name_H-M 'P m m a'
_symmetry_Int_Tables_number 51
_cell_length_a 10.3709
_cell_length_b 4.6855
_cell_length_c 10.1611
_cell_angle_alpha 90.00
_cell_angle_beta 90.00
_cell_angle_gamma 90.00
loop_
_symmetry_equiv_pos_as_xyz
'x,y,z'
'-x,-y,-z'
'-x+1/2,-y,z'
'x+1/2,y,-z'
'x+1/2,-y,-z'
'-x+1/2,y,z'
'-x,y,-z'
'x,-y,z'
loop_
_atom_site_label
_atom_site_type_symbol
_atom_site_fract_x
_atom_site_fract_y
_atom_site_fract_z
_atom_site_occupancy
Ag1 Ag 0.0721 0.0000 0.2083 1
Hg1 Hg 0.0000 0.5000 0.5000 1
Hg2 Hg 0.2500 0.5000 0.7630 1
S1 S 0.0167 0.5000 0.7387 1
I1 I 0.2500 0.0000 0.4626 1
I2 I 0.2500 0.0000 0.9954 1
```

=====

(3)
This entry pairs a crystal structure of Tb3SOF5 with its simulated X-ray powder pattern. Radiation: Cu Ka. Structure: a PBE-relaxed structure.

The 10 most intense peaks (15° ≤ 2θ ≤ 90°), in order of falling intensity:
- 28.64°, I = 100
- 30.59°, I = 55
- 26.40°, I = 48
- 28.89°, I = 45
- 32.51°, I = 43
- 51.03°, I = 40
- 46.89°, I = 33
- 37.87°, I = 33
- 18.65°, I = 30
- 30.69°, I = 30

Cell and atoms:
```
data_Tb3SOF5
_symmetry_space_group_name_H-M 'P 1 m 1'
_symmetry_Int_Tables_number 6
_cell_length_a 9.4441
_cell_length_b 3.7023
_cell_length_c 9.5032
_cell_angle_alpha 90.00
_cell_angle_beta 119.56
_cell_angle_gamma 90.00
loop_
_symmetry_equiv_pos_as_xyz
'x,y,z'
'x,-y,z'
loop_
_atom_site_label
_atom_site_type_symbol
_atom_site_fract_x
_atom_site_fract_y
_atom_site_fract_z
_atom_site_occupancy
Tb1 Tb 0.0000 0.0000 0.0000 1
Tb2 Tb 0.1055 0.5000 0.6883 1
Tb3 Tb 0.2725 0.5000 0.3742 1
Tb4 Tb 0.5276 0.0000 0.8173 1
Tb5 Tb 0.7010 0.0000 0.5063 1
Tb6 Tb 0.8226 0.5000 0.2374 1
S1 S 0.0777 0.0000 0.4414 1
S2 S 0.7335 0.5000 0.7704 1
O1 O 0.0215 0.5000 0.1556 1
O2 O 0.8414 0.5000 0.4908 1
F1 F 0.1292 0.5000 0.9407 1
F2 F 0.2593 0.0000 0.2210 1
F3 F 0.2834 0.0000 0.8177 1
F4 F 0.3576 0.5000 0.6698 1
F5 F 0.4488 0.0000 0.5359 1
F6 F 0.5169 0.5000 0.3769 1
F7 F 0.5640 0.5000 0.9830 1
F8 F 0.6772 0.0000 0.2528 1
F9 F 0.7827 0.0000 0.0562 1
F10 F 0.9735 0.0000 0.7288 1
```

=====

(4)
This entry pairs a crystal structure of Pr2TeO6 with its simulated X-ray powder pattern. Radiation: Cu Ka. Structure: a PBE-relaxed structure.

The 10 most intense peaks (15° ≤ 2θ ≤ 90°), in order of falling intensity:
- 26.24°, I = 100
- 25.35°, I = 81
- 31.93°, I = 58
- 24.78°, I = 45
- 32.46°, I = 34
- 51.78°, I = 29
- 27.41°, I = 29
- 29.57°, I = 29
- 44.47°, I = 28
- 33.20°, I = 26

Cell and atoms:
```
data_Pr2TeO6
_symmetry_space_group_name_H-M 'P 21 21 21'
_symmetry_Int_Tables_number 19
_cell_length_a 5.5171
_cell_length_b 9.4719
_cell_length_c 10.3952
_cell_angle_alpha 90.00
_cell_angle_beta 90.00
_cell_angle_gamma 90.00
loop_
_symmetry_equiv_pos_as_xyz
'x,y,z'
'-x+1/2,-y,z+1/2'
'x+1/2,-y+1/2,-z'
'-x,y+1/2,-z+1/2'
loop_
_atom_site_label
_atom_site_type_symbol
_atom_site_fract_x
_atom_site_fract_y
_atom_site_fract_z
_atom_site_occupancy
Pr1 Pr 0.0261 0.1039 0.0400 1
Pr2 Pr 0.0321 0.2171 0.6372 1
Te1 Te 0.0416 0.4963 0.1445 1
O1 O 0.0709 0.8506 0.4745 1
O2 O 0.1689 0.9489 0.2131 1
O3 O 0.1810 0.6365 0.2581 1
O4 O 0.1937 0.6378 0.6775 1
O5 O 0.2181 0.1122 0.4347 1
O6 O 0.2490 0.5858 0.0109 1
```

=====

(5)
This entry pairs a crystal structure of Pb3SO6 with its simulated X-ray powder pattern. Radiation: Cu Ka. Structure: a PBE-relaxed structure.

The 10 most intense peaks (15° ≤ 2θ ≤ 90°), in order of falling intensity:
- 26.84°, I = 100
- 29.62°, I = 21
- 36.96°, I = 21
- 50.89°, I = 17
- 34.53°, I = 13
- 41.83°, I = 12
- 27.57°, I = 12
- 46.12°, I = 11
- 28.86°, I = 10
- 57.32°, I = 10

Cell and atoms:
```
data_Pb3SO6
_symmetry_space_group_name_H-M 'C m c m'
_symmetry_Int_Tables_number 63
_symmetry_space_group_name_Hall '-C 2c 2'
_cell_length_a 10.3900
_cell_length_b 12.3743
_cell_length_c 6.0318
_cell_angle_alpha 90.00
_cell_angle_beta 90.00
_cell_angle_gamma 90.00
loop_
_atom_site_label
_atom_site_type_symbol
_atom_site_fract_x
_atom_site_fract_y
_atom_site_fract_z
_atom_site_occupancy
Pb1 Pb 0.0000 0.1009 0.2500 1
Pb2 Pb 0.2326 0.4104 0.2500 1
S1 S 0.0000 0.3486 0.7500 1
O1 O 0.0000 0.2815 0.5469 1
O2 O 0.1189 0.4189 0.7500 1
O3 O 0.1434 0.0000 0.0000 1
```